Diffraction record for Pm2Dy6In3. The powder XRD pattern is calculated, not measured: it uses a structure optimized by DFT (PBE) and λ = 1.5418 Å (Cu Kα).
Kinematic intensities with the Lorentz-polarization factor, no thermal factor.

Most intense lines, 15° ≤ 2θ ≤ 90°, low angle first:
2θ/deg, I (rel.)
27.0, 16
29.8, 100
31.9, 24
35.2, 52
35.4, 28
39.7, 48
51.8, 25
54.2, 16
57.4, 16
66.0, 22
67.2, 15
69.1, 14

Structure:
```
Pm2Dy6In3
1.0
-2.271 2.271 16.826
2.271 -2.271 16.826
2.271 2.271 -16.826
Pm Dy In
2 6 3
Cartesian
0.000 0.000 1.484 Pm
0.000 0.000 32.168 Pm
2.271 0.000 4.325 Dy
0.000 0.000 7.174 Dy
2.271 0.000 12.501 Dy
0.000 2.271 4.325 Dy
0.000 0.000 26.478 Dy
0.000 2.271 12.501 Dy
0.000 0.000 10.293 In
0.000 0.000 16.826 In
0.000 0.000 23.359 In
```